Diffraction record for MnAlGa2O6. The powder diffraction line list is theoretical, not measured: it uses a DFT-relaxed cell (GGA+U, Alexandria) and Cu Kα (λ = 1.5418 Å).

Structural model:
Unit cell a=4.9757 b=4.9788 c=5.3292 alpha=90.17 beta=117.81 gamma=119.79
Space group P1 (No. 1)
Asymmetric unit:
Mn1 0.0000 0.0000 0.0000 [1 per cell]
Al1 0.0043 0.5020 0.5074 [1 per cell]
Ga1 0.5844 0.7930 0.3777 [1 per cell]
Ga2 0.5881 0.2938 0.8841 [1 per cell]
O1 0.1059 0.3959 0.2185 [1 per cell]
O2 0.1072 0.2202 0.7089 [1 per cell]
O3 0.4878 0.8864 0.7085 [1 per cell]
O4 0.5069 0.1112 0.2168 [1 per cell]
O5 0.8188 0.7077 0.2178 [1 per cell]
O6 0.8212 0.6008 0.7105 [1 per cell]

Main lines, by angle (5 to 70 degrees two-theta):
24.5°, d = 3.633 Å, I 53
33.8°, d = 2.654 Å, I 100
36.0°, d = 2.496 Å, I 26
36.1°, d = 2.489 Å, I 52
41.4°, d = 2.179 Å, I 15
50.2°, d = 1.818 Å, I 28
55.1°, d = 1.668 Å, I 38
55.1°, d = 1.665 Å, I 19
63.4°, d = 1.467 Å, I 24
64.7°, d = 1.440 Å, I 24